No. 1
# MgIr2Rh
Theoretical PXRD pattern, Cu Kα (weighted mean of Kα1 and Kα2). Input: a crystal structure in Alexandria, relaxed with GGA-PBE.
Peak positions follow from Bragg's law for the DFT cell and can differ from measured ones.

Structural model:
```
MgIr2Rh
1.0
2.780 0.000 0.000
0.000 2.780 0.000
0.000 0.000 7.762
Mg Ir Rh
1 2 1
Direct
0.000 0.000 0.000
0.000 0.000 0.499
0.500 0.500 0.736
0.500 0.500 0.260
```

Main lines, in order of rising 2θ (2θ from 15° to 90°):
2θ/deg, Rel. int.
34.3, 157
39.9, 1000
46.2, 334
46.8, 153
47.7, 99
48.0, 138
67.4, 108
67.9, 202
81.2, 256
82.2, 113
86.0, 108
86.9, 54

No. 2
# MgIr2Rh
Theoretical PXRD pattern, Cu Kα (weighted mean of Kα1 and Kα2). Input: a crystal structure in Alexandria, relaxed with GGA-PBE.
Peak positions follow from Bragg's law for the DFT cell and can differ from measured ones.

Structural model:
```
MgIr2Rh
1.0
-2.764 3.882 2.739
2.764 -3.882 2.739
2.764 3.882 -2.739
Mg Ir Rh
2 4 2
Direct
0.500 0.000 0.000
0.500 0.500 0.500
0.000 0.000 0.000
0.000 0.000 0.500
0.000 0.500 0.000
0.500 0.000 0.500
0.000 0.500 0.500
0.500 0.500 0.000
```

Main lines, in order of rising 2θ (2θ from 15° to 90°):
2θ/deg, Rel. int.
19.8, 598
22.9, 161
38.3, 233
38.5, 115
40.0, 1000
40.3, 983
46.7, 647
46.8, 321
68.3, 416
81.9, 254
82.3, 126
82.4, 375

No. 3
# Mg4IrRh3
Theoretical PXRD pattern, Cu Kα (weighted mean of Kα1 and Kα2). Input: a crystal structure in Alexandria, relaxed with GGA-PBE.
Peak positions follow from Bragg's law for the DFT cell and can differ from measured ones.

Structural model:
```
Mg4IrRh3
1.0
2.207 1.274 7.204
-2.207 1.274 7.204
0.000 -2.548 7.204
Mg Ir Rh
4 1 3
Direct
0.125 0.125 0.125
0.375 0.375 0.375
0.625 0.625 0.625
0.875 0.875 0.875
0.500 0.500 0.500
0.000 0.000 0.000
0.250 0.250 0.250
0.750 0.750 0.750
```

Main lines, in order of rising 2θ (2θ from 15° to 90°):
2θ/deg, Rel. int.
23.6, 36
24.7, 44
28.6, 575
31.2, 18
40.9, 1000
42.9, 17
48.4, 24
50.7, 158
59.2, 166
67.1, 204
74.5, 332
88.7, 108

No. 4
# MgIr2Rh
Theoretical PXRD pattern, Cu Kα (weighted mean of Kα1 and Kα2). Input: a crystal structure in Alexandria, relaxed with GGA-PBE.
Peak positions follow from Bragg's law for the DFT cell and can differ from measured ones.

Structural model:
```
MgIr2Rh
1.0
2.670 -4.650 0.000
2.670 4.650 0.000
-1.288 0.000 2.420
Mg Ir Rh
1 2 1
Direct
0.000 0.000 0.000
0.000 0.500 0.500
0.500 0.000 0.500
0.500 0.500 0.000
```

Main lines, in order of rising 2θ (2θ from 15° to 90°):
2θ/deg, Rel. int.
19.1, 841
37.2, 166
38.7, 631
38.8, 626
42.1, 1000
43.0, 940
43.6, 215
56.0, 434
71.9, 206
72.4, 207
73.1, 197
73.9, 191

No. 5
# Sr2Mg6IrRh
Theoretical PXRD pattern, Cu Kα (weighted mean of Kα1 and Kα2). Input: a crystal structure in Alexandria, relaxed with GGA-PBE.
Peak positions follow from Bragg's law for the DFT cell and can differ from measured ones.

Structural model:
```
Sr2Mg6IrRh
1.0
5.079 -5.087 0.000
5.079 5.087 0.000
-5.072 0.000 5.091
Sr Mg Ir Rh
2 6 1 1
Direct
0.250 0.750 0.000
0.750 0.250 0.000
0.249 0.249 0.500
0.249 0.751 0.500
0.250 0.250 0.999
0.750 0.750 0.001
0.751 0.249 0.500
0.751 0.751 0.500
0.500 0.500 0.500
0.000 0.000 0.500
```

Main lines, in order of rising 2θ (2θ from 15° to 90°):
2θ/deg, Rel. int.
15.1, 73
17.4, 190
24.8, 1000
35.3, 446
39.6, 87
43.6, 370
43.6, 74
50.8, 312
57.2, 133
63.3, 106
69.1, 133
69.2, 94

No. 6
# MgTcIrRh
Theoretical PXRD pattern, Cu Kα (weighted mean of Kα1 and Kα2). Input: a crystal structure in Alexandria, relaxed with GGA-PBE.
Peak positions follow from Bragg's law for the DFT cell and can differ from measured ones.

Structural model:
```
MgTcIrRh
1.0
0.000 3.117 3.117
3.117 0.000 3.117
3.117 3.117 0.000
Mg Tc Ir Rh
1 1 1 1
Direct
0.000 0.000 0.000
0.500 0.500 0.500
0.750 0.750 0.750
0.250 0.250 0.250
```

Main lines, in order of rising 2θ (2θ from 15° to 90°):
2θ/deg, Rel. int.
24.7, 174
28.6, 206
40.9, 1000
48.4, 89
50.7, 59
59.3, 167
65.2, 37
67.1, 77
74.6, 336
80.0, 29
88.8, 111